No. 1
For Ba2NdMgNbO6, a crystal structure in the Materials Project, relaxed with PBE gives the computed XRD peak list in this record (Cu Kα).
Intensities are scaled so that the largest is 100.

Main lines, low angle first (2θ from 10° to 90°):
3.203 Å, I = 56; 3.188 Å, I = 100; 3.062 Å, I = 46; 2.774 Å, I = 22; 2.207 Å, I = 54; 2.061 Å, I = 15; 2.056 Å, I = 20; 1.846 Å, I = 17; 1.792 Å, I = 21; 1.380 Å, I = 15

```
data_Ba2NdMgNbO6
_symmetry_space_group_name_H-M 'P 1'
_symmetry_Int_Tables_number 1
_cell_length_a 6.3894
_cell_length_b 6.3894
_cell_length_c 6.3700
_cell_angle_alpha 119.61
_cell_angle_beta 119.61
_cell_angle_gamma 57.27
loop_
_symmetry_equiv_pos_as_xyz
'x,y,z'
loop_
_atom_site_label
_atom_site_type_symbol
_atom_site_fract_x
_atom_site_fract_y
_atom_site_fract_z
Ba1 Ba 0.1849 0.1849 0.1891
Ba2 Ba 0.8151 0.8151 0.8109
Nd1 Nd 0.0000 0.0000 0.5000
Mg1 Mg 0.5000 0.5000 0.5000
Nb1 Nb 0.5000 0.5000 0.0000
O1 O 0.2470 0.6905 0.2275
O2 O 0.2802 0.2802 0.7227
O3 O 0.3095 0.7530 0.7725
O4 O 0.6905 0.2470 0.2275
O5 O 0.7198 0.7198 0.2773
O6 O 0.7530 0.3095 0.7725
```

---

No. 2
For Ba3MgNb2O8, a crystal structure in the Materials Project, relaxed with PBE gives the computed XRD peak list in this record (Cu Kα).
Intensities are scaled so that the largest is 100.

Main lines, low angle first (2θ from 10° to 90°):
3.466 Å, I = 95; 3.023 Å, I = 100; 2.278 Å, I = 39; 2.115 Å, I = 33; 1.819 Å, I = 28; 1.745 Å, I = 19; 1.733 Å, I = 16; 1.511 Å, I = 16; 1.503 Å, I = 23; 1.385 Å, I = 13

```
data_Ba3MgNb2O8
_symmetry_space_group_name_H-M 'P 1'
_symmetry_Int_Tables_number 1
_cell_length_a 8.4592
_cell_length_b 8.4592
_cell_length_c 8.4592
_cell_angle_alpha 41.87
_cell_angle_beta 41.87
_cell_angle_gamma 41.87
loop_
_symmetry_equiv_pos_as_xyz
'x,y,z'
loop_
_atom_site_label
_atom_site_type_symbol
_atom_site_fract_x
_atom_site_fract_y
_atom_site_fract_z
Ba1 Ba 0.0000 0.0000 0.0000
Ba2 Ba 0.1983 0.1983 0.1983
Ba3 Ba 0.8017 0.8017 0.8017
Mg1 Mg 0.5000 0.5000 0.5000
Nb1 Nb 0.3885 0.3885 0.3885
Nb2 Nb 0.6115 0.6115 0.6115
O1 O 0.2546 0.7154 0.7154
O2 O 0.2846 0.2846 0.7454
O3 O 0.2846 0.7454 0.2846
O4 O 0.3077 0.3077 0.3077
O5 O 0.6923 0.6923 0.6923
O6 O 0.7154 0.2546 0.7154
O7 O 0.7154 0.7154 0.2546
O8 O 0.7454 0.2846 0.2846
```

---

No. 3
For Ba3MgNb2O9, a crystal structure in the Materials Project, relaxed with PBE gives the computed XRD peak list in this record (Cu Kα).
Intensities are scaled so that the largest is 100.

Main lines, low angle first (2θ from 10° to 90°):
4.148 Å, I = 8; 2.933 Å, I = 100; 2.395 Å, I = 13; 2.074 Å, I = 33; 1.694 Å, I = 30; 1.692 Å, I = 10; 1.467 Å, I = 20; 1.312 Å, I = 18; 1.197 Å, I = 5; 1.108 Å, I = 16

```
data_Ba3MgNb2O9
_symmetry_space_group_name_H-M 'P 1'
_symmetry_Int_Tables_number 1
_cell_length_a 5.8624
_cell_length_b 5.8624
_cell_length_c 7.1945
_cell_angle_alpha 90.00
_cell_angle_beta 90.00
_cell_angle_gamma 120.00
loop_
_symmetry_equiv_pos_as_xyz
'x,y,z'
loop_
_atom_site_label
_atom_site_type_symbol
_atom_site_fract_x
_atom_site_fract_y
_atom_site_fract_z
Ba1 Ba 0.0000 0.0000 0.0000
Ba2 Ba 0.3333 0.6667 0.6680
Ba3 Ba 0.6667 0.3333 0.3320
Mg1 Mg 0.0000 0.0000 0.5000
Nb1 Nb 0.3333 0.6667 0.1793
Nb2 Nb 0.6667 0.3333 0.8207
O1 O 0.0000 0.5000 0.0000
O2 O 0.1713 0.3426 0.3262
O3 O 0.1713 0.8287 0.3262
O4 O 0.3426 0.1713 0.6738
O5 O 0.5000 0.0000 0.0000
O6 O 0.5000 0.5000 0.0000
O7 O 0.6574 0.8287 0.3262
O8 O 0.8287 0.1713 0.6738
O9 O 0.8287 0.6574 0.6738
```

---

Q: What is the formula in the first record?
A: Ba2NdMgNbO6